No. 1
The following is a simulated PXRD pattern of Ca5Tl. It was derived from a PBE-relaxed structure, using CuKα.
Kinematic intensities with the Lorentz-polarization factor, no thermal factor.

Largest 10 diffraction maxima, low angle first, 2θ from 15° to 90°:
2theta, Rel. int., hkl
17.68, 16, 0 0 3
23.64, 30, 0 0 4
29.06, 100, 1 0 3
32.58, 42, 1 1 0
33.14, 41, 1 0 4
37.81, 16, 1 0 5
46.74, 15, 2 0 0
48.38, 14, 0 0 8
49.18, 15, 1 1 6
55.99, 30, 2 1 3

Structure:
```
data_Ca5Tl
_chemical_formula_sum 'Ca5 Tl1'
_cell_length_a 3.8866
_cell_length_b 3.8866
_cell_length_c 15.0481
_cell_angle_alpha 90.00
_cell_angle_beta 90.00
_cell_angle_gamma 90.00
_space_group_name_H-M_alt 'P 4/m m m'
_space_group_IT_number 123
_space_group_name_Hall '-P 4 2'
loop_
_atom_site_label
_atom_site_type_symbol
_atom_site_fract_x
_atom_site_fract_y
_atom_site_fract_z
_atom_site_occupancy
Ca1 Ca 0.0000 0.0000 0.0000 1
Ca2 Ca 0.0000 0.0000 0.3725 1
Ca3 Ca 0.5000 0.5000 0.1839 1
Tl1 Tl 0.5000 0.5000 0.5000 1
```

***

No. 2
The following is a simulated PXRD pattern of CaTl8. It was derived from a PBE-relaxed structure, using CuKα.
Kinematic intensities with the Lorentz-polarization factor, no thermal factor.

Largest 10 diffraction maxima, low angle first, 2θ from 15° to 90°:
2theta, Rel. int., hkl
31.92, 100, 3 0 1
32.93, 46, 3 3 0
44.24, 10, 0 0 2
47.26, 17, 6 0 0
56.23, 21, 3 3 2
58.17, 37, 6 3 1
66.73, 12, 6 0 2
73.64, 9, 3 0 3
78.11, 8, 9 0 1
78.66, 8, 9 3 0

Structure:
```
data_CaTl8
_chemical_formula_sum 'Ca2 Tl16'
_cell_length_a 11.5393
_cell_length_b 11.5393
_cell_length_c 4.0950
_cell_angle_alpha 90.00
_cell_angle_beta 90.00
_cell_angle_gamma 90.00
_space_group_name_H-M_alt 'I 4/m m m'
_space_group_IT_number 139
_space_group_name_Hall '-I 4 2'
loop_
_atom_site_label
_atom_site_type_symbol
_atom_site_fract_x
_atom_site_fract_y
_atom_site_fract_z
_atom_site_occupancy
Ca1 Ca 0.0000 0.0000 0.0000 1
Tl1 Tl 0.0000 0.3336 0.0000 1
Tl2 Tl 0.1693 0.1693 0.5000 1
```

***

No. 3
The following is a simulated PXRD pattern of Ca3Tl2. It was derived from a PBE-relaxed structure, using CuKα.
Kinematic intensities with the Lorentz-polarization factor, no thermal factor.

Largest 10 diffraction maxima, low angle first, 2θ from 15° to 90°:
2theta, Rel. int., hkl
21.93, 29, 0 0 1
22.30, 47, 2 1 0
31.48, 100, 2 1 1
31.74, 35, 3 1 0
36.33, 12, 3 2 0
38.91, 20, 3 1 1
40.47, 15, 4 0 0
42.84, 17, 3 2 1
55.88, 14, 3 1 2
60.40, 21, 5 2 1

Structure:
```
data_Ca3Tl2
_chemical_formula_sum 'Ca6 Tl4'
_cell_length_a 8.9157
_cell_length_b 8.9157
_cell_length_c 4.0526
_cell_angle_alpha 90.00
_cell_angle_beta 90.00
_cell_angle_gamma 90.00
_space_group_name_H-M_alt 'P 4/m b m'
_space_group_IT_number 127
_space_group_name_Hall '-P 4 2ab'
loop_
_atom_site_label
_atom_site_type_symbol
_atom_site_fract_x
_atom_site_fract_y
_atom_site_fract_z
_atom_site_occupancy
Ca1 Ca 0.0000 0.0000 0.0000 1
Ca2 Ca 0.1626 0.3374 0.5000 1
Tl1 Tl 0.1356 0.6356 0.0000 1
```

***

No. 4
The following is a simulated PXRD pattern of Ca4Tl3. It was derived from a PBE-relaxed structure, using CuKα.
Kinematic intensities with the Lorentz-polarization factor, no thermal factor.

Largest 10 diffraction maxima, low angle first, 2θ from 15° to 90°:
2theta, Rel. int., hkl
22.63, 91, 3 -1 1
32.15, 98, 4 1 0
32.30, 100, 1 2 2
39.67, 24, 2 4 1
46.21, 36, 6 -2 2
51.95, 18, 8 -5 1
52.15, 19, 5 -4 3
57.37, 47, 0 7 2
57.69, 18, 3 -1 4
76.83, 13, 8 -5 4

Structure:
```
data_Ca4Tl3
_chemical_formula_sum 'Ca24 Tl18'
_cell_length_a 14.7340
_cell_length_b 14.7340
_cell_length_c 6.7739
_cell_angle_alpha 90.00
_cell_angle_beta 90.00
_cell_angle_gamma 120.00
_space_group_name_H-M_alt 'R -3'
_space_group_IT_number 148
_space_group_name_Hall '-R 3'
loop_
_atom_site_label
_atom_site_type_symbol
_atom_site_fract_x
_atom_site_fract_y
_atom_site_fract_z
_atom_site_occupancy
Ca1 Ca 0.0000 0.0000 0.0000 1
Ca2 Ca 0.0000 0.0000 0.5000 1
Ca3 Ca 0.0518 0.7987 0.1711 1
Tl1 Tl 0.0471 0.8235 0.6795 1
```